Theoretical X-ray diffraction stick pattern of ErCuSn for Cu Kα X-rays, from a PBE-relaxed structure.

Crystal structure
a = 4.5135 Å, b = 4.5135 Å, c = 7.2005 Å
α = 90.00°, β = 90.00°, γ = 120.00°
Fractional coordinates of all 6 atoms:
Er  0.0000  0.0000  0.0000
Er  0.0000  0.0000  0.5000
Cu  0.3333  0.6667  0.3235
Cu  0.6667  0.3333  0.8235
Sn  0.3333  0.6667  0.7300
Sn  0.6667  0.3333  0.2300

Top 12 peaks for 2θ from 10° to 80°, by intensity:
2theta	Rel. int.
33.8	100
39.9	67
53.3	28
68.7	26
66.4	16
44.3	14
25.9	13
72.6	12
22.7	11
50.7	6
75.6	6
56.3	6

Theoretical X-ray diffraction stick pattern of ZrSn for Cu Kα X-rays, from a PBE-relaxed structure.

Crystal structure
a = 5.4644 Å, b = 8.1449 Å, c = 8.1449 Å
α = 139.88°, β = 90.00°, γ = 90.00°
Fractional coordinates of all 10 atoms:
Zr  0.0000  0.0000  0.0000
Zr  0.0000  0.4059  0.6092
Zr  0.0000  0.6092  0.4059
Zr  0.5000  0.0364  0.2326
Zr  0.5000  0.2326  0.0364
Sn  0.0000  0.2167  0.8262
Sn  0.0000  0.8262  0.2167
Sn  0.5000  0.3918  0.7918
Sn  0.5000  0.6503  0.6503
Sn  0.5000  0.7918  0.3918

Top 12 peaks for 2θ from 10° to 80°, by intensity:
2theta	Rel. int.
37.3	100
32.8	41
32.0	25
61.5	23
36.1	23
46.5	18
68.2	13
60.6	12
58.0	10
70.5	9
33.4	8
79.6	8